# La4Tc3
Simulated PXRD pattern, Cu Kα. Input: the PBE geometry in Alexandria.
Kinematic intensities with the Lorentz-polarization factor, no thermal factor.

Atomic structure:
Lattice parameters (Å, degrees): 3.7126 3.7126 28.1713 90.00 90.00 90.00
Space group I4/mmm (No. 139)
Asymmetric unit:
La: 0.0000 0.0000 0.0594 (multiplicity 4)
La: 0.0000 0.0000 0.3231 (multiplicity 4)
Tc: 0.0000 0.0000 0.2367 (multiplicity 4)
Tc: 0.0000 0.0000 0.5000 (multiplicity 2)

Most intense lines, 2θ = 10–80°, by intensity:
2θ (°)  Rel. int.  hkl
34.15  100.0  1 1 0
42.91  75.7  1 0 11
32.82  67.8  1 0 7
12.57  46.1  0 0 4
28.80  39.9  1 0 5
49.08  35.6  2 0 0
67.20  34.5  2 1 11
25.80  31.9  1 0 3
60.30  23.1  2 1 7
36.53  13.3  1 1 4